(1)
Computed powder diffraction line list
Compound: Th2Pa2Si4Ni
Radiation: λ = 1.5418 Å (Cu Kα)
Structure: DFT lattice parameters and positions (GGA-PBE)
Lines closer than 0.1° are merged.

The 10 most intense peaks (10 to 90 degrees two-theta), in order of rising 2θ:
- 2θ = 21.88°, I 24
- 2θ = 25.97°, I 100
- 2θ = 34.21°, I 72
- 2θ = 35.65°, I 35
- 2θ = 37.05°, I 65
- 2θ = 44.63°, I 37
- 2θ = 53.40°, I 23
- 2θ = 59.35°, I 22
- 2θ = 60.31°, I 21
- 2θ = 64.96°, I 24

```
data_Th2Pa2Si4Ni
_cell_length_a 6.8627
_cell_length_b 6.8627
_cell_length_c 8.1231
_cell_angle_alpha 90.00
_cell_angle_beta 90.00
_cell_angle_gamma 90.00
_space_group_name_H-M_alt 'I 4/m m m'
_space_group_IT_number 139
_space_group_name_Hall '-I 4 2'
loop_
_atom_site_label
_atom_site_type_symbol
_atom_site_fract_x
_atom_site_fract_y
_atom_site_fract_z
Th1 Th 0.0000 0.5000 0.2500
Pa1 Pa 0.0000 0.0000 0.1669
Si1 Si 0.2348 0.2348 0.5000
Ni1 Ni 0.0000 0.0000 0.5000
```

---

(2)
Computed powder diffraction line list
Compound: Na5B7C3
Radiation: λ = 1.5418 Å (Cu Kα)
Structure: DFT lattice parameters and positions (GGA-PBE)
Lines closer than 0.1° are merged.

The 10 most intense peaks (10 to 90 degrees two-theta), in order of rising 2θ:
- 2θ = 34.90°, I 8
- 2θ = 36.25°, I 12
- 2θ = 40.93°, I 36
- 2θ = 42.12°, I 100
- 2θ = 56.78°, I 7
- 2θ = 63.47°, I 12
- 2θ = 77.00°, I 11
- 2θ = 79.16°, I 12
- 2θ = 80.73°, I 7
- 2θ = 81.54°, I 6

```
data_Na5B7C3
_cell_length_a 8.5770
_cell_length_b 2.8284
_cell_length_c 25.7050
_cell_angle_alpha 90.00
_cell_angle_beta 90.00
_cell_angle_gamma 90.00
_space_group_name_H-M_alt 'A m m 2'
_space_group_IT_number 38
loop_
_space_group_symop_operation_xyz
'x,y,z'
'-x,-y,z'
'-x,y,z'
'x,-y,z'
'x,y+1/2,z+1/2'
'-x,-y+1/2,z+1/2'
'-x,y+1/2,z+1/2'
'x,-y+1/2,z+1/2'
loop_
_atom_site_label
_atom_site_type_symbol
_atom_site_fract_x
_atom_site_fract_y
_atom_site_fract_z
Na1 Na 0.2443 0.0000 0.0000
Na2 Na 0.2470 0.0000 0.1989
Na3 Na 0.2482 0.0000 0.5999
Na4 Na 0.2492 0.0000 0.3988
Na5 Na 0.2503 0.0000 0.7982
B1 B 0.0000 0.0000 0.1292
B2 B 0.0000 0.0000 0.3324
B3 B 0.0000 0.0000 0.4657
B4 B 0.0000 0.0000 0.5350
B5 B 0.0000 0.0000 0.6684
B6 B 0.0000 0.0000 0.7379
B7 B 0.0000 0.0000 0.9257
B8 B 0.5000 0.0000 0.0698
B9 B 0.5000 0.0000 0.2577
B10 B 0.5000 0.0000 0.3259
B11 B 0.5000 0.0000 0.4776
B12 B 0.5000 0.0000 0.6633
B13 B 0.5000 0.0000 0.8689
B14 B 0.5000 0.0000 0.9340
C1 C 0.0000 0.0000 0.0663
C2 C 0.0000 0.0000 0.2686
C3 C 0.0000 0.0000 0.8634
C4 C 0.5000 0.0000 0.1321
C5 C 0.5000 0.0000 0.5377
C6 C 0.5000 0.0000 0.7266
```